Simulated powder XRD pattern
Compound: VTc2F
Radiation: Cu Kα
Structure: a DFT-relaxed cell (GGA+U, Alexandria)
Intensities are scaled so that the largest is 100.

Largest 8 diffraction maxima, in order of rising 2θ, 2θ = 10–90°:
Position (°2θ)	I_rel
23.2	50
33.0	92
33.7	100
41.3	38
46.4	69
47.9	42
58.1	31
64.6	34

Cell and atoms:
a = 7.680 Å, b = 7.680 Å, c = 4.194 Å
α = 90.00°, β = 90.00°, γ = 90.00°
Space group I-42d (No. 122)
One atom of each set of equivalent atoms:
V 0.000 0.000 0.000
Tc 0.177 0.250 0.625
F 0.000 0.000 0.500